[1]
Diffraction record for Ba2SrLaB. The X-ray powder pattern is calculated, not measured: it uses a GGA-PBE-relaxed structure and Cu Kα (λ = 1.5418 Å).
Peak positions follow from Bragg's law for the DFT cell and can differ from measured ones.

Atomic structure:
```
5
Lattice="6.0148 0.0000 0.0000 0.0000 6.0148 0.0000 0.0000 0.0000 5.8924" Properties=species:S:1:pos:R:3 pbc="T T T"
Ba 0.0000 3.0074 0.0000
Ba 3.0074 0.0000 0.0000
Sr 0.0000 0.0000 2.9462
La 3.0074 3.0074 2.9462
B 0.0000 0.0000 0.0000
```

Peak list (10 most intense, 10° ≤ 2θ ≤ 90°, sorted by position)
d/Å  2θ (°)  I_rel
3.449  25.8  100.0
3.007  29.7  37.7
2.946  30.3  17.8
2.127  42.5  14.0
2.105  43.0  27.1
1.810  50.4  31.9
1.783  51.2  15.2
1.724  53.1  14.4
1.366  68.7  12.7
1.223  78.1  9.4

[2]
Diffraction record for ZrCl2. The X-ray powder pattern is calculated, not measured: it uses a GGA-PBE-relaxed structure and Cu Kα (λ = 1.5418 Å).
Peak positions follow from Bragg's law for the DFT cell and can differ from measured ones.

Atomic structure:
```
18
Lattice="6.5824 3.8004 3.0423 -6.5824 3.8004 3.0423 0.0000 -7.6008 3.0423" Properties=species:S:1:pos:R:3 pbc="T T T"
Zr -1.2929 -1.2886 3.2601
Zr -0.4695 1.7640 3.2601
Zr 1.7624 -0.4754 3.2601
Zr -1.7624 0.4754 5.8668
Zr 0.4695 -1.7640 5.8668
Zr 1.2929 1.2886 5.8668
Cl -1.9961 0.5451 1.6566
Cl 0.5260 -2.0012 1.6566
Cl -3.5332 -0.9452 4.5229
Cl -0.9480 -3.5325 4.6040
Cl 1.4701 1.4562 1.6566
Cl -2.5852 2.5873 4.6040
Cl 2.5852 -2.5872 4.5229
Cl -1.4701 -1.4562 7.4703
Cl 0.9480 3.5325 4.5229
Cl 3.5332 0.9452 4.6040
Cl -0.5260 2.0012 7.4703
Cl 1.9961 -0.5451 7.4703
```

Peak list (10 most intense, 10° ≤ 2θ ≤ 90°, sorted by position)
d/Å  2θ (°)  I_rel
7.125  12.4  92.3
6.582  13.5  37.6
4.237  21.0  13.3
2.762  32.4  14.0
2.599  34.5  100.0
2.269  39.7  14.6
2.236  40.3  19.5
1.850  49.2  28.4
1.826  50.0  29.6
1.299  72.8  16.1

[3]
Diffraction record for MnZn2MoN4. The X-ray powder pattern is calculated, not measured: it uses a GGA-PBE-relaxed structure and Cu Kα (λ = 1.5418 Å).
Peak positions follow from Bragg's law for the DFT cell and can differ from measured ones.

Atomic structure:
```
16
Lattice="4.6847 0.0000 0.0000 0.0000 4.6847 0.0000 0.0000 0.0000 9.1894" Properties=species:S:1:pos:R:3 pbc="T T T"
Mn 0.0000 0.0000 0.0000
Mn 2.3423 2.3423 4.5947
Zn 0.0000 2.3423 2.2973
Zn 0.0000 2.3423 6.8920
Zn 2.3423 0.0000 2.2973
Zn 2.3423 0.0000 6.8920
Mo 0.0000 0.0000 4.5947
Mo 2.3423 2.3423 0.0000
N 1.0948 1.0948 3.5048
N 1.0948 3.5898 5.6846
N 1.2475 1.2475 8.0995
N 1.2475 3.4372 1.0899
N 3.4372 1.2475 1.0899
N 3.4372 3.4372 8.0995
N 3.5898 1.0948 5.6846
N 3.5898 3.5898 3.5048
```

Peak list (10 most intense, 10° ≤ 2θ ≤ 90°, sorted by position)
d/Å  2θ (°)  I_rel
4.174  21.3  7.2
2.687  33.3  100.0
2.342  38.4  22.2
2.297  39.2  10.5
1.656  55.5  13.8
1.640  56.1  26.8
1.410  66.3  24.4
1.390  67.4  12.0
1.344  70.0  7.7
1.171  82.3  4.0